This entry pairs a crystal structure of BaLiNpO3 with its computed X-ray diffraction stick pattern. Radiation: Cu Kα, 1.54184 Å. Structure: DFT lattice parameters and positions (PBE).
Intensities are scaled so that the largest is 100.

Structure:
Cell lengths 6.0212, 6.0212, 6.5351 Å; angles 90.00, 90.00, 120.00 degrees
Space group P6_3/mmc (No. 194)
Symmetry-distinct sites (fractional):
Ba1 0.3333 0.6667 0.2500 [2 per cell]
Li1 0.3333 0.6667 0.7500 [2 per cell]
Np1 0.0000 0.0000 0.0000 [2 per cell]
O1 0.1571 0.3141 0.7500 [6 per cell]

Principal peaks in the range 15 to 90 degrees two-theta, by intensity:
2θ/deg	d/Å	intensity	index
32.3	2.769	100	1 0 2
29.7	3.011	93	1 1 0
17.0	5.215	86	1 0 0
44.5	2.038	53	2 0 2
54.4	1.688	51	2 1 2
21.8	4.076	30	1 0 1
71.3	1.322	22	3 1 2
64.9	1.436	21	1 1 4

This entry pairs a crystal structure of Er2Ni3Sn with its computed X-ray diffraction stick pattern. Radiation: Cu Kα, 1.54184 Å. Structure: DFT lattice parameters and positions (PBE).
Intensities are scaled so that the largest is 100.

Structure:
Cell lengths 7.328, 8.538, 14.605 Å; angles 90.00, 90.00, 90.00 degrees
Space group Fmmm (No. 69)
Symmetry-distinct sites (fractional):
Er1 0.233 0.000 0.000 [8 per cell]
Er2 0.250 0.250 0.250 [8 per cell]
Ni1 0.000 0.000 0.162 [8 per cell]
Ni2 0.000 0.241 0.081 [16 per cell]
Sn1 0.000 0.000 0.336 [8 per cell]

Principal peaks in the range 15 to 90 degrees two-theta, by intensity:
2θ/deg	d/Å	intensity	index
34.5	2.598	100	2 2 2
34.7	2.586	52	2 0 4
42.8	2.115	50	0 2 6
55.8	1.646	26	2 4 4
67.7	1.385	26	4 2 6
42.3	2.135	25	0 4 0
49.8	1.832	16	4 0 0
24.1	3.686	16	0 2 2